No. 1
Starting from a crystal structure in the Materials Project, relaxed with PBE+U, the powder diffractogram of LiMoP4O12 was simulated for Cu Kα X-rays.

Main lines, sorted by position (5° ≤ 2θ ≤ 70°):
| two_theta | I_rel |
| --- | --- |
| 13.45 | 44 |
| 16.88 | 50 |
| 20.42 | 98 |
| 25.72 | 53 |
| 27.58 | 62 |
| 29.20 | 100 |
| 34.14 | 26 |
| 36.82 | 21 |
| 38.69 | 26 |
| 42.20 | 21 |

Cell and atoms:
```
LiMoP4O12
1.0
6.0237 -4.2218 0.0000
6.0237 4.2218 0.0000
-4.9833 0.0000 8.8730
Li Mo P O
2 2 8 24
Cartesian
3.0119 2.1109 0.0000
0.5202 -2.1109 4.4365
4.7779 3.7671 2.2182
2.2863 -3.7671 6.6547
3.3310 1.9823 4.6482
1.2415 1.9823 8.6613
2.1168 0.0974 2.6942
-0.3749 -0.0974 7.1307
7.4391 0.0974 1.7423
4.9474 -0.0974 6.1788
5.8227 -1.9823 0.2117
3.7331 -1.9823 4.2248
2.6596 3.1664 5.2577
-1.7184 0.5940 7.3040
1.9130 3.1664 8.0517
2.4730 0.7323 1.4154
5.0780 2.2217 0.7555
2.1742 1.1322 3.9454
0.7732 -0.5940 2.8675
4.4778 2.2217 3.6810
0.7589 1.0044 7.4929
-0.0186 -0.7323 5.8519
3.8136 1.0044 5.8165
-0.3175 -1.1322 8.3819
7.3816 1.1322 0.4910
3.2505 -1.0044 3.0564
7.0828 0.7323 3.0210
6.3053 -1.0044 1.3800
2.5864 -2.2217 5.1920
6.2909 0.5940 6.0055
4.8900 -1.1322 4.9275
1.9862 -2.2217 8.1175
4.5912 -0.7323 7.4575
5.1512 -3.1664 0.8212
8.7826 -0.5940 1.5690
4.4046 -3.1664 3.6152
```

---

No. 2
Starting from a crystal structure in the Materials Project, relaxed with PBE+U, the powder diffractogram of LiMoP2O8 was simulated for Cu Kα X-rays.

Main lines, sorted by position (5° ≤ 2θ ≤ 70°):
| two_theta | I_rel |
| --- | --- |
| 10.09 | 100 |
| 20.25 | 7 |
| 22.53 | 49 |
| 23.17 | 21 |
| 28.47 | 16 |
| 29.60 | 6 |
| 35.32 | 5 |
| 35.75 | 7 |
| 36.62 | 6 |
| 51.62 | 4 |

Cell and atoms:
```
LiMoP2O8
1.0
5.0190 0.0000 0.0000
2.4572 4.3959 0.0000
0.0634 0.4975 8.7705
Li Mo P O
1 1 2 8
Cartesian
0.0000 0.0000 0.0000
5.4554 4.2455 4.0032
2.9220 2.7508 2.2506
5.5413 1.3483 5.7396
3.9833 4.6273 5.3042
3.0837 2.7640 0.7606
2.4374 1.4008 2.8366
4.2922 3.0923 2.9704
4.1695 0.9885 5.0209
6.0278 2.6783 5.1011
5.3651 1.4199 7.2170
6.9288 3.8778 2.6685
```

---

No. 3
Starting from a crystal structure in the Materials Project, relaxed with PBE+U, the powder diffractogram of LiMo3P3O13 was simulated for Cu Kα X-rays.

Main lines, sorted by position (5° ≤ 2θ ≤ 70°):
| two_theta | I_rel |
| --- | --- |
| 13.13 | 42 |
| 15.62 | 72 |
| 18.54 | 100 |
| 23.53 | 34 |
| 26.17 | 61 |
| 26.75 | 36 |
| 29.11 | 53 |
| 30.97 | 49 |
| 31.34 | 41 |
| 35.88 | 40 |

Cell and atoms:
```
LiMo3P3O13
1.0
7.6775 0.0000 0.0000
0.0000 6.6656 0.0000
-1.7876 0.0000 10.8187
Li Mo P O
2 6 6 26
Cartesian
0.3909 1.6664 1.4495
5.4990 4.9992 9.3692
-0.3548 1.6664 8.6293
1.2345 4.9992 4.8899
3.8388 0.0000 0.0000
3.8388 3.3328 0.0000
4.6553 1.6664 5.9288
6.2447 4.9992 2.1894
1.2647 4.9992 1.3275
0.4226 4.9992 8.3679
1.2787 1.6664 5.6046
4.6112 4.9992 5.2141
5.4672 1.6664 2.4509
4.6251 1.6664 9.4912
5.9763 1.6664 10.2899
-0.0865 4.9992 0.5289
-0.5011 3.7863 8.6480
-0.5011 6.2121 8.6480
0.6695 4.9992 2.7871
0.1468 1.6664 6.7141
1.0703 0.4256 4.7310
1.0703 2.9073 4.7310
2.0370 3.6997 1.0839
2.0370 6.2988 1.0839
1.0918 4.9992 7.0127
1.1771 1.6664 9.7957
1.5556 4.9992 9.4909
2.6236 1.6664 6.3668
3.2663 4.9992 4.4519
4.3343 1.6664 1.3278
4.7128 4.9992 1.0230
4.7981 1.6664 3.8060
3.8529 0.3669 9.7349
3.8529 2.9660 9.7349
4.8196 3.7584 6.0877
4.8196 6.2401 6.0877
5.7431 4.9992 4.1047
5.2204 1.6664 8.0316
6.3910 0.4535 2.1708
6.3910 2.8793 2.1708
```

---

Copy entry 3 word for word.
Starting from a crystal structure in the Materials Project, relaxed with PBE+U, the powder diffractogram of LiMo3P3O13 was simulated for Cu Kα X-rays.

Main lines, sorted by position (5° ≤ 2θ ≤ 70°):
| two_theta | I_rel |
| --- | --- |
| 13.13 | 42 |
| 15.62 | 72 |
| 18.54 | 100 |
| 23.53 | 34 |
| 26.17 | 61 |
| 26.75 | 36 |
| 29.11 | 53 |
| 30.97 | 49 |
| 31.34 | 41 |
| 35.88 | 40 |

Cell and atoms:
```
LiMo3P3O13
1.0
7.6775 0.0000 0.0000
0.0000 6.6656 0.0000
-1.7876 0.0000 10.8187
Li Mo P O
2 6 6 26
Cartesian
0.3909 1.6664 1.4495
5.4990 4.9992 9.3692
-0.3548 1.6664 8.6293
1.2345 4.9992 4.8899
3.8388 0.0000 0.0000
3.8388 3.3328 0.0000
4.6553 1.6664 5.9288
6.2447 4.9992 2.1894
1.2647 4.9992 1.3275
0.4226 4.9992 8.3679
1.2787 1.6664 5.6046
4.6112 4.9992 5.2141
5.4672 1.6664 2.4509
4.6251 1.6664 9.4912
5.9763 1.6664 10.2899
-0.0865 4.9992 0.5289
-0.5011 3.7863 8.6480
-0.5011 6.2121 8.6480
0.6695 4.9992 2.7871
0.1468 1.6664 6.7141
1.0703 0.4256 4.7310
1.0703 2.9073 4.7310
2.0370 3.6997 1.0839
2.0370 6.2988 1.0839
1.0918 4.9992 7.0127
1.1771 1.6664 9.7957
1.5556 4.9992 9.4909
2.6236 1.6664 6.3668
3.2663 4.9992 4.4519
4.3343 1.6664 1.3278
4.7128 4.9992 1.0230
4.7981 1.6664 3.8060
3.8529 0.3669 9.7349
3.8529 2.9660 9.7349
4.8196 3.7584 6.0877
4.8196 6.2401 6.0877
5.7431 4.9992 4.1047
5.2204 1.6664 8.0316
6.3910 0.4535 2.1708
6.3910 2.8793 2.1708
```